# 1
Computed powder XRD pattern
Compound: YW2C
Radiation: Cu Ka
Structure: a crystal structure in Alexandria, relaxed with GGA-PBE
Peak positions follow from Bragg's law for the DFT cell and can differ from measured ones.

Principal peaks in the range 10 to 80 degrees two-theta, by intensity:
hkl	two_theta	Rel. int.
2 1 1	33.8	100
2 0 2	35.4	69
1 0 1	17.5	46
3 2 1	54.2	27
2 2 4	59.6	25
4 2 2	71.1	18
2 0 0	28.7	14
3 0 1	45.0	13

Structural model:
```
data_YW2C
_symmetry_space_group_name_H-M 'I 41/a m d'
_symmetry_Int_Tables_number 141
_cell_length_a 6.221
_cell_length_b 6.221
_cell_length_c 8.765
_cell_angle_alpha 90.00
_cell_angle_beta 90.00
_cell_angle_gamma 90.00
loop_
_symmetry_equiv_pos_as_xyz
'x,y,z'
'-x,-y,-z'
'-y+1/4,x+3/4,z+1/4'
'y+1/4,-x+3/4,-z+1/4'
'-x+1/2,-y,z+1/2'
'x+1/2,y,-z+1/2'
'y+1/4,-x+1/4,z+3/4'
'-y+1/4,x+1/4,-z+3/4'
'x,-y,-z'
'-x,y,z'
'-y+1/4,-x+1/4,-z+3/4'
'y+1/4,x+1/4,z+3/4'
'-x+1/2,y,-z+1/2'
'x+1/2,-y,z+1/2'
'y+1/4,x+3/4,-z+1/4'
'-y+1/4,-x+3/4,z+1/4'
'x+1/2,y+1/2,z+1/2'
'-x+1/2,-y+1/2,-z+1/2'
'-y+3/4,x+1/4,z+3/4'
'y+3/4,-x+1/4,-z+3/4'
'-x,-y+1/2,z'
'x,y+1/2,-z'
'y+3/4,-x+3/4,z+1/4'
'-y+3/4,x+3/4,-z+1/4'
'x+1/2,-y+1/2,-z+1/2'
'-x+1/2,y+1/2,z+1/2'
'-y+3/4,-x+3/4,-z+1/4'
'y+3/4,x+3/4,z+1/4'
'-x,y+1/2,-z'
'x,-y+1/2,z'
'y+3/4,x+1/4,-z+3/4'
'-y+3/4,-x+1/4,z+3/4'
loop_
_atom_site_label
_atom_site_type_symbol
_atom_site_fract_x
_atom_site_fract_y
_atom_site_fract_z
Y1 Y 0.000 0.250 0.375
W1 W 0.000 0.000 0.000
C1 C 0.000 0.250 0.875
```


# 2
Computed powder XRD pattern
Compound: AsPRhAu2
Radiation: Cu Ka
Structure: a crystal structure in Alexandria, relaxed with GGA-PBE
Peak positions follow from Bragg's law for the DFT cell and can differ from measured ones.

Principal peaks in the range 10 to 80 degrees two-theta, by intensity:
hkl	two_theta	Rel. int.
1 0 4	34.8	100
0 1 8	40.5	39
0 1 11	46.5	32
1 1 0	58.4	28
0 0 15	44.3	22
1 1 15	76.2	22
1 0 7	38.8	21
1 0 19	67.3	15

Structural model:
```
data_AsPRhAu2
_symmetry_space_group_name_H-M 'R 3 m'
_symmetry_Int_Tables_number 160
_symmetry_space_group_name_Hall 'R 3 -2"'
_cell_length_a 3.1581
_cell_length_b 3.1581
_cell_length_c 30.6863
_cell_angle_alpha 90.00
_cell_angle_beta 90.00
_cell_angle_gamma 120.00
loop_
_atom_site_label
_atom_site_type_symbol
_atom_site_fract_x
_atom_site_fract_y
_atom_site_fract_z
As1 As 0.0000 0.0000 0.0000
P1 P 0.0000 0.0000 0.5526
Rh1 Rh 0.0000 0.0000 0.2638
Au1 Au 0.0000 0.0000 0.4754
Au2 Au 0.0000 0.0000 0.7354
```


# 3
Computed powder XRD pattern
Compound: Co2S2Cl
Radiation: Cu Ka
Structure: a crystal structure in Alexandria, relaxed with GGA-PBE
Peak positions follow from Bragg's law for the DFT cell and can differ from measured ones.

Principal peaks in the range 10 to 80 degrees two-theta, by intensity:
hkl	two_theta	Rel. int.
1 0 3	36.5	100
0 0 2	15.6	73
0 1 1	21.3	56
1 2 3	55.5	53
0 2 0	40.3	42
1 1 4	47.1	27
0 0 6	48.0	15
2 0 0	57.0	14

Structural model:
```
data_Co2S2Cl
_symmetry_space_group_name_H-M 'I m m m'
_symmetry_Int_Tables_number 71
_symmetry_space_group_name_Hall '-I 2 2'
_cell_length_a 3.232
_cell_length_b 4.477
_cell_length_c 11.382
_cell_angle_alpha 90.00
_cell_angle_beta 90.00
_cell_angle_gamma 90.00
loop_
_atom_site_label
_atom_site_type_symbol
_atom_site_fract_x
_atom_site_fract_y
_atom_site_fract_z
Co1 Co 0.000 0.000 0.169
S1 S 0.000 0.500 0.203
Cl1 Cl 0.000 0.500 0.500
```


# 4
Computed powder XRD pattern
Compound: Ca3AgBi3S8
Radiation: Cu Ka
Structure: a crystal structure in Alexandria, relaxed with GGA-PBE
Peak positions follow from Bragg's law for the DFT cell and can differ from measured ones.

Principal peaks in the range 10 to 80 degrees two-theta, by intensity:
hkl	two_theta	Rel. int.
0 2 4	31.3	100
2 2 0	44.9	72
0 0 3	13.5	68
2 0 2	27.1	52
0 2 1	25.9	46
2 4 4	74.3	32
0 2 10	53.2	27
2 0 5	34.2	23

Structural model:
```
data_Ca3AgBi3S8
_symmetry_space_group_name_H-M 'R -3 m'
_symmetry_Int_Tables_number 166
_symmetry_space_group_name_Hall '-R 3 2"'
_cell_length_a 8.0766
_cell_length_b 8.0766
_cell_length_c 19.7455
_cell_angle_alpha 90.00
_cell_angle_beta 90.00
_cell_angle_gamma 120.00
loop_
_atom_site_label
_atom_site_type_symbol
_atom_site_fract_x
_atom_site_fract_y
_atom_site_fract_z
Ca1 Ca 0.0000 0.5000 0.0000
Ag1 Ag 0.0000 0.0000 0.5000
Bi1 Bi 0.0000 0.5000 0.5000
S1 S 0.0000 0.0000 0.2510
S2 S 0.0011 0.5005 0.2482
```


# 5
Computed powder XRD pattern
Compound: La2Nd4Sm
Radiation: Cu Ka
Structure: a crystal structure in Alexandria, relaxed with GGA-PBE
Peak positions follow from Bragg's law for the DFT cell and can differ from measured ones.

Principal peaks in the range 10 to 80 degrees two-theta, by intensity:
hkl	two_theta	Rel. int.
2 2 0	30.6	100
0 2 -2	30.2	54
0 3 1	33.1	29
-2 1 1	31.9	24
0 1 3	33.0	21
2 4 -2	54.0	21
-1 1 1	21.1	15
1 -2 0	26.1	13

Structural model:
```
data_La2Nd4Sm
_symmetry_space_group_name_H-M 'P -1'
_symmetry_Int_Tables_number 2
_cell_length_a 7.192
_cell_length_b 8.572
_cell_length_c 8.597
_cell_angle_alpha 87.02
_cell_angle_beta 81.60
_cell_angle_gamma 81.33
loop_
_symmetry_equiv_pos_as_xyz
'x,y,z'
'-x,-y,-z'
loop_
_atom_site_label
_atom_site_type_symbol
_atom_site_fract_x
_atom_site_fract_y
_atom_site_fract_z
La1 La 0.000 0.000 0.000
La2 La 0.000 0.000 0.500
La3 La 0.000 0.500 0.000
La4 La 0.500 0.000 0.000
Nd1 Nd 0.267 0.248 0.250
Nd2 Nd 0.270 0.749 0.750
Nd3 Nd 0.384 0.145 0.640
Nd4 Nd 0.385 0.640 0.145
Sm1 Sm 0.000 0.500 0.500
Sm2 Sm 0.500 0.500 0.500
```


# 6
Computed powder XRD pattern
Compound: PbSe2O5
Radiation: Cu Ka
Structure: a crystal structure in Alexandria, relaxed with GGA-PBE
Peak positions follow from Bragg's law for the DFT cell and can differ from measured ones.

Principal peaks in the range 10 to 80 degrees two-theta, by intensity:
hkl	two_theta	Rel. int.
1 1 2	27.7	100
1 1 1	18.9	78
1 1 0	14.8	60
1 3 1	28.5	55
1 3 0	25.9	44
1 5 3	54.4	31
1 2 1	22.9	29
0 2 3	38.4	28

Structural model:
```
data_PbSe2O5
_symmetry_space_group_name_H-M 'P b c n'
_symmetry_Int_Tables_number 60
_cell_length_a 6.916
_cell_length_b 11.877
_cell_length_c 7.648
_cell_angle_alpha 90.00
_cell_angle_beta 90.00
_cell_angle_gamma 90.00
loop_
_symmetry_equiv_pos_as_xyz
'x,y,z'
'-x,-y,-z'
'-x+1/2,-y+1/2,z+1/2'
'x+1/2,y+1/2,-z+1/2'
'x+1/2,-y+1/2,-z'
'-x+1/2,y+1/2,z'
'-x,y,-z+1/2'
'x,-y,z+1/2'
loop_
_atom_site_label
_atom_site_type_symbol
_atom_site_fract_x
_atom_site_fract_y
_atom_site_fract_z
Pb1 Pb 0.000 0.058 0.250
Se1 Se 0.111 0.337 0.062
O1 O 0.000 0.415 0.250
O2 O 0.193 0.078 0.535
O3 O 0.201 0.220 0.161
```


# 7
Computed powder XRD pattern
Compound: TiZn2Pd2
Radiation: Cu Ka
Structure: a crystal structure in Alexandria, relaxed with GGA-PBE
Peak positions follow from Bragg's law for the DFT cell and can differ from measured ones.

Principal peaks in the range 10 to 80 degrees two-theta, by intensity:
hkl	two_theta	Rel. int.
2 1 1	41.9	100
3 1 0	38.6	51
5 2 1	77.3	22
1 1 0	17.0	22
4 0 0	49.4	13
3 1 2	78.8	13
3 3 0	52.6	11
4 1 1	61.2	10

Structural model:
```
data_TiZn2Pd2
_symmetry_space_group_name_H-M 'P 4/m b m'
_symmetry_Int_Tables_number 127
_symmetry_space_group_name_Hall '-P 4 2ab'
_cell_length_a 7.382
_cell_length_b 7.382
_cell_length_c 2.843
_cell_angle_alpha 90.00
_cell_angle_beta 90.00
_cell_angle_gamma 90.00
loop_
_atom_site_label
_atom_site_type_symbol
_atom_site_fract_x
_atom_site_fract_y
_atom_site_fract_z
Ti1 Ti 0.000 0.000 0.000
Zn1 Zn 0.158 0.342 0.500
Pd1 Pd 0.140 0.640 0.000
```


# 8
Computed powder XRD pattern
Compound: Pr12Dy2Er
Radiation: Cu Ka
Structure: a crystal structure in Alexandria, relaxed with GGA-PBE
Peak positions follow from Bragg's law for the DFT cell and can differ from measured ones.

Principal peaks in the range 10 to 80 degrees two-theta, by intensity:
hkl	two_theta	Rel. int.
0 2 8	32.3	100
0 4 0	30.5	66
2 2 2	29.8	65
0 2 7	29.1	46
2 2 6	36.1	34
2 0 4	28.4	29
0 6 8	55.3	20
4 4 0	60.0	20

Structural model:
```
data_Pr12Dy2Er
_symmetry_space_group_name_H-M 'C m m e'
_symmetry_Int_Tables_number 67
_symmetry_space_group_name_Hall '-C 2a 2'
_cell_length_a 7.256
_cell_length_b 11.730
_cell_length_c 25.191
_cell_angle_alpha 90.00
_cell_angle_beta 90.00
_cell_angle_gamma 90.00
loop_
_atom_site_label
_atom_site_type_symbol
_atom_site_fract_x
_atom_site_fract_y
_atom_site_fract_z
Pr1 Pr 0.000 0.002 0.073
Pr2 Pr 0.000 0.025 0.560
Pr3 Pr 0.230 0.250 0.415
Pr4 Pr 0.248 0.250 0.870
Pr5 Pr 0.250 0.000 0.198
Pr6 Pr 0.250 0.000 0.324
Dy1 Dy 0.000 0.250 0.267
Dy2 Dy 0.000 0.250 0.729
Er1 Er 0.000 0.250 0.999
```


What is the formula in the seventh record? TiZn2Pd2


What did the eighth record say?
Computed powder XRD pattern
Compound: Pr12Dy2Er
Radiation: Cu Ka
Structure: a crystal structure in Alexandria, relaxed with GGA-PBE
Peak positions follow from Bragg's law for the DFT cell and can differ from measured ones.

Principal peaks in the range 10 to 80 degrees two-theta, by intensity:
hkl	two_theta	Rel. int.
0 2 8	32.3	100
0 4 0	30.5	66
2 2 2	29.8	65
0 2 7	29.1	46
2 2 6	36.1	34
2 0 4	28.4	29
0 6 8	55.3	20
4 4 0	60.0	20

Structural model:
```
data_Pr12Dy2Er
_symmetry_space_group_name_H-M 'C m m e'
_symmetry_Int_Tables_number 67
_symmetry_space_group_name_Hall '-C 2a 2'
_cell_length_a 7.256
_cell_length_b 11.730
_cell_length_c 25.191
_cell_angle_alpha 90.00
_cell_angle_beta 90.00
_cell_angle_gamma 90.00
loop_
_atom_site_label
_atom_site_type_symbol
_atom_site_fract_x
_atom_site_fract_y
_atom_site_fract_z
Pr1 Pr 0.000 0.002 0.073
Pr2 Pr 0.000 0.025 0.560
Pr3 Pr 0.230 0.250 0.415
Pr4 Pr 0.248 0.250 0.870
Pr5 Pr 0.250 0.000 0.198
Pr6 Pr 0.250 0.000 0.324
Dy1 Dy 0.000 0.250 0.267
Dy2 Dy 0.000 0.250 0.729
Er1 Er 0.000 0.250 0.999
```